(1)
K2BeIrO4: theoretical powder diffractogram (a wavelength of 1.5418 Å), based on the PBE geometry in Alexandria.
No peak broadening, texture or thermal motion is included.

The 8 most intense peaks (2θ = 10–90°), in order of falling intensity:
2θ (°)	d (Å)	Rel. int.
19.22	4.619	100
17.97	4.936	97
18.34	4.837	68
31.83	2.811	57
29.29	3.049	52
37.25	2.414	49
29.76	3.002	39
37.83	2.378	29

Atomic structure:
a = 11.248 Å, b = 10.021 Å, c = 6.306 Å
α = 83.80°, β = 62.33°, γ = 33.87°
Fractional positions:
K: 0.052 0.052 0.698
K: 0.302 0.302 0.948
K: 0.698 0.698 0.052
K: 0.948 0.948 0.302
Be: 0.375 0.375 0.375
Be: 0.625 0.625 0.625
Ir: 0.125 0.125 0.125
Ir: 0.875 0.875 0.875
O: 0.043 0.629 0.544
O: 0.285 0.544 0.629
O: 0.371 0.957 0.715
O: 0.456 0.715 0.957
O: 0.544 0.285 0.043
O: 0.629 0.043 0.285
O: 0.715 0.456 0.371
O: 0.957 0.371 0.456


(2)
K4Er3TmTe8: theoretical powder diffractogram (a wavelength of 1.5418 Å), based on the PBE geometry in Alexandria.
No peak broadening, texture or thermal motion is included.

The 8 most intense peaks (2θ = 10–90°), in order of falling intensity:
2θ (°)	d (Å)	Rel. int.
27.21	3.277	100
10.74	8.237	51
40.42	2.232	37
37.26	2.413	34
34.41	2.607	21
49.41	1.844	19
65.67	1.422	16
46.77	1.942	13

Atomic structure:
a = 9.717 Å, b = 9.717 Å, c = 9.717 Å
α = 54.69°, β = 54.69°, γ = 54.69°
Fractional positions:
K: 0.000 0.000 0.000
K: 0.000 0.500 0.500
K: 0.500 0.000 0.500
K: 0.500 0.500 0.000
Er: 0.000 0.000 0.500
Er: 0.000 0.500 0.000
Er: 0.500 0.000 0.000
Tm: 0.500 0.500 0.500
Te: 0.236 0.236 0.236
Te: 0.236 0.735 0.735
Te: 0.265 0.265 0.764
Te: 0.265 0.764 0.265
Te: 0.735 0.236 0.735
Te: 0.735 0.735 0.236
Te: 0.764 0.265 0.265
Te: 0.764 0.764 0.764


(3)
DyAgAs2O8: theoretical powder diffractogram (a wavelength of 1.5418 Å), based on the PBE geometry in Alexandria.
No peak broadening, texture or thermal motion is included.

The 8 most intense peaks (2θ = 10–90°), in order of falling intensity:
2θ (°)	d (Å)	Rel. int.
24.99	3.563	100
32.90	2.722	74
49.28	1.849	60
35.64	2.519	22
62.28	1.491	18
51.28	1.782	15
18.52	4.790	14
73.87	1.283	14

Atomic structure:
a = 5.988 Å, b = 5.988 Å, c = 5.988 Å
α = 106.97°, β = 106.97°, γ = 114.60°
Fractional positions:
Dy: 0.000 0.000 0.000
Ag: 0.750 0.250 0.500
As: 0.250 0.750 0.500
As: 0.500 0.500 0.000
O: 0.081 0.395 0.315
O: 0.081 0.766 0.685
O: 0.140 0.317 0.823
O: 0.234 0.919 0.315
O: 0.495 0.317 0.177
O: 0.605 0.919 0.685
O: 0.683 0.505 0.823
O: 0.683 0.860 0.177


(4)
Sr3CdIr: theoretical powder diffractogram (a wavelength of 1.5418 Å), based on the PBE geometry in Alexandria.
No peak broadening, texture or thermal motion is included.

The 8 most intense peaks (2θ = 10–90°), in order of falling intensity:
2θ (°)	d (Å)	Rel. int.
32.31	2.771	100
32.77	2.733	55
19.68	4.510	48
35.32	2.541	39
10.17	8.700	31
28.85	3.094	30
37.05	2.427	28
29.88	2.991	27

Atomic structure:
a = 10.174 Å, b = 9.383 Å, c = 6.337 Å
α = 78.02°, β = 64.44°, γ = 37.54°
Fractional positions:
Sr: 0.198 0.579 0.421
Sr: 0.201 0.201 0.799
Sr: 0.421 0.802 0.198
Sr: 0.579 0.198 0.802
Sr: 0.799 0.799 0.201
Sr: 0.802 0.421 0.579
Cd: 0.199 0.801 0.801
Cd: 0.801 0.199 0.199
Ir: 0.250 0.250 0.250
Ir: 0.750 0.750 0.750


(5)
HoErGeRu: theoretical powder diffractogram (a wavelength of 1.5418 Å), based on the PBE geometry in Alexandria.
No peak broadening, texture or thermal motion is included.

The 8 most intense peaks (2θ = 10–90°), in order of falling intensity:
2θ (°)	d (Å)	Rel. int.
32.63	2.744	100
40.49	2.228	51
32.74	2.735	39
33.21	2.698	29
42.95	2.106	26
47.35	1.920	20
40.88	2.207	19
28.53	3.128	18

Atomic structure:
a = 3.839 Å, b = 5.792 Å, c = 5.792 Å
α = 42.64°, β = 90.00°, γ = 90.00°
Fractional positions:
Ho: 0.000 0.000 0.000
Er: 0.500 0.718 0.718
Ge: 0.500 0.423 0.423
Ru: 0.000 0.268 0.268


(6)
Ce3Al8Ag3: theoretical powder diffractogram (a wavelength of 1.5418 Å), based on the PBE geometry in Alexandria.
No peak broadening, texture or thermal motion is included.

The 8 most intense peaks (2θ = 10–90°), in order of falling intensity:
2θ (°)	d (Å)	Rel. int.
34.09	2.630	100
34.90	2.571	40
37.18	2.418	35
39.80	2.265	32
28.02	3.185	31
21.73	4.090	27
27.03	3.298	19
56.29	1.634	18

Atomic structure:
a = 8.445 Å, b = 8.445 Å, c = 8.445 Å
α = 148.89°, β = 111.35°, γ = 77.27°
Fractional positions:
Ce: 0.000 0.000 0.000
Ce: 0.291 0.291 0.000
Ce: 0.709 0.709 0.000
Al: 0.021 0.658 0.363
Al: 0.148 0.863 0.285
Al: 0.295 0.658 0.637
Al: 0.422 0.137 0.285
Al: 0.578 0.863 0.715
Al: 0.705 0.342 0.363
Al: 0.852 0.137 0.715
Al: 0.979 0.342 0.637
Ag: 0.306 0.500 0.806
Ag: 0.500 0.000 0.500
Ag: 0.694 0.500 0.194